# 1
Theoretical XRD peak list of PmMg3Ag3 for Cu Kα (λ = 1.5418 Å), from a PBE-relaxed structure.
Intensities are scaled so that the largest is 100.

Principal peaks in the range 2θ from 10° to 90°, in order of rising 2θ:
| index | 2θ (°) | I_rel |
| --- | --- | --- |
| 1 0 0 | 12.22 | 62 |
| 1 1 1 | 27.81 | 14 |
| 2 0 1 | 30.47 | 21 |
| 2 1 0 | 32.70 | 24 |
| 0 0 2 | 35.93 | 26 |
| 2 1 1 | 37.45 | 100 |
| 1 0 2 | 38.09 | 8 |
| 2 1 2 | 49.37 | 14 |
| 1 4 0 | 58.37 | 15 |
| 2 1 3 | 65.58 | 18 |
| 1 4 2 | 70.47 | 17 |
| 4 2 1 | 71.43 | 11 |

Structural model:
```
data_PmMg3Ag3
_chemical_formula_sum 'Pm2 Mg6 Ag6'
_space_group_name_H-M_alt 'P 63/m'
_space_group_IT_number 176
_space_group_name_Hall '-P 6c'
_cell_length_a 8.3661
_cell_length_b 8.3661
_cell_length_c 4.9989
_cell_angle_alpha 90.00
_cell_angle_beta 90.00
_cell_angle_gamma 120.00
loop_
_atom_site_label
_atom_site_fract_x
_atom_site_fract_y
_atom_site_fract_z
Pm1 0.3333 0.6667 0.2500
Mg1 0.0088 0.7743 0.7500
Ag1 0.0787 0.4658 0.7500
```

# 2
Theoretical XRD peak list of PmMg2Ag4 for Cu Kα (λ = 1.5418 Å), from a PBE-relaxed structure.
Intensities are scaled so that the largest is 100.

Principal peaks in the range 2θ from 10° to 90°, in order of rising 2θ:
| index | 2θ (°) | I_rel |
| --- | --- | --- |
| 1 1 0 | 17.48 | 32 |
| 0 0 2 | 31.81 | 53 |
| 2 1 1 | 32.12 | 97 |
| 2 2 0 | 35.39 | 59 |
| 1 1 2 | 36.52 | 31 |
| 2 0 2 | 40.76 | 23 |
| 3 0 1 | 41.01 | 100 |
| 2 2 2 | 48.31 | 29 |
| 2 1 3 | 56.87 | 19 |
| 3 0 3 | 62.99 | 27 |
| 3 3 2 | 64.27 | 25 |
| 5 2 1 | 72.98 | 30 |

Structural model:
```
data_PmMg2Ag4
_chemical_formula_sum 'Pm2 Mg4 Ag8'
_space_group_name_H-M_alt 'I 4/m m m'
_space_group_IT_number 139
_space_group_name_Hall '-I 4 2'
_cell_length_a 7.174
_cell_length_b 7.174
_cell_length_c 5.626
_cell_angle_alpha 90.00
_cell_angle_beta 90.00
_cell_angle_gamma 90.00
loop_
_atom_site_label
_atom_site_fract_x
_atom_site_fract_y
_atom_site_fract_z
Pm1 0.000 0.000 0.000
Mg1 0.000 0.500 0.250
Ag1 0.196 0.196 0.500
```

# 3
Theoretical XRD peak list of Pm2MgAg7 for Cu Kα (λ = 1.5418 Å), from a PBE-relaxed structure.
Intensities are scaled so that the largest is 100.

Principal peaks in the range 2θ from 10° to 90°, in order of rising 2θ:
| index | 2θ (°) | I_rel |
| --- | --- | --- |
| 2 2 0 | 25.15 | 16 |
| 3 1 1 | 29.58 | 4 |
| 2 2 2 | 30.93 | 100 |
| 4 0 0 | 35.86 | 89 |
| 4 2 2 | 44.31 | 7 |
| 4 4 0 | 51.62 | 61 |
| 6 2 2 | 61.40 | 40 |
| 4 4 4 | 64.45 | 20 |
| 6 4 2 | 70.34 | 4 |
| 8 0 0 | 76.02 | 9 |
| 6 6 2 | 84.29 | 16 |
| 8 4 0 | 87.02 | 27 |

Structural model:
```
data_Pm2MgAg7
_chemical_formula_sum 'Pm8 Mg4 Ag28'
_space_group_name_H-M_alt 'F m -3 m'
_space_group_IT_number 225
_space_group_name_Hall '-F 4 2 3'
_cell_length_a 10.016
_cell_length_b 10.016
_cell_length_c 10.016
_cell_angle_alpha 90.00
_cell_angle_beta 90.00
_cell_angle_gamma 90.00
loop_
_atom_site_label
_atom_site_fract_x
_atom_site_fract_y
_atom_site_fract_z
Pm1 0.250 0.250 0.250
Mg1 0.000 0.000 0.000
Ag1 0.000 0.000 0.245
Ag2 0.000 0.000 0.500
```

# 4
Theoretical XRD peak list of Pm4Mg5Ag2 for Cu Kα (λ = 1.5418 Å), from a PBE-relaxed structure.
Intensities are scaled so that the largest is 100.

Principal peaks in the range 2θ from 10° to 90°, in order of rising 2θ:
| index | 2θ (°) | I_rel |
| --- | --- | --- |
| 1 0 0 | 10.97 | 100 |
| 1 0 -2 | 19.70 | 33 |
| 1 1 -2 | 32.22 | 54 |
| 1 1 2 | 32.90 | 61 |
| 2 1 0 | 33.75 | 58 |
| 3 0 -1 | 33.95 | 39 |
| 2 0 3 | 34.96 | 47 |
| 2 1 1 | 35.17 | 29 |
| 1 0 -4 | 35.48 | 44 |
| 0 1 3 | 36.22 | 44 |
| 2 1 -2 | 37.40 | 49 |
| 4 1 1 | 53.49 | 26 |

Structural model:
```
data_Pm4Mg5Ag2
_chemical_formula_sum 'Pm4 Mg5 Ag2'
_space_group_name_H-M_alt 'P 1 2/m 1'
_space_group_IT_number 10
_cell_length_a 8.078
_cell_length_b 3.529
_cell_length_c 10.478
_cell_angle_alpha 90.00
_cell_angle_beta 93.26
_cell_angle_gamma 90.00
loop_
_space_group_symop_operation_xyz
'x,y,z'
'-x,-y,-z'
'-x,y,-z'
'x,-y,z'
loop_
_atom_site_label
_atom_site_fract_x
_atom_site_fract_y
_atom_site_fract_z
Pm1 0.159 0.000 0.376
Pm2 0.257 0.000 0.948
Mg1 0.200 0.500 0.666
Mg2 0.436 0.500 0.201
Mg3 0.500 0.500 0.500
Ag1 0.060 0.500 0.137
```

# 5
Theoretical XRD peak list of PmMg10Ag2 for Cu Kα (λ = 1.5418 Å), from a PBE-relaxed structure.
Intensities are scaled so that the largest is 100.

Principal peaks in the range 2θ from 10° to 90°, in order of rising 2θ:
| index | 2θ (°) | I_rel |
| --- | --- | --- |
| 0 0 2 | 12.32 | 100 |
| 1 1 1 | 17.85 | 21 |
| 0 4 0 | 24.81 | 39 |
| 1 3 1 | 25.08 | 31 |
| 0 4 2 | 27.81 | 31 |
| 1 3 3 | 30.73 | 27 |
| 0 4 4 | 35.37 | 47 |
| 1 5 1 | 35.57 | 46 |
| 2 2 2 | 36.16 | 71 |
| 2 2 4 | 42.42 | 24 |
| 2 6 2 | 51.48 | 29 |
| 2 6 6 | 64.01 | 18 |

Structural model:
```
data_PmMg10Ag2
_chemical_formula_sum 'Pm4 Mg40 Ag8'
_space_group_name_H-M_alt 'F m m m'
_space_group_IT_number 69
_space_group_name_Hall '-F 2 2'
_cell_length_a 5.697
_cell_length_b 14.343
_cell_length_c 14.366
_cell_angle_alpha 90.00
_cell_angle_beta 90.00
_cell_angle_gamma 90.00
loop_
_atom_site_label
_atom_site_fract_x
_atom_site_fract_y
_atom_site_fract_z
Pm1 0.000 0.000 0.000
Mg1 0.000 0.110 0.397
Mg2 0.000 0.180 0.168
Mg3 0.250 0.000 0.250
Ag1 0.250 0.250 0.000
```

# 6
Theoretical XRD peak list of Pm2Mg3Ag2 for Cu Kα (λ = 1.5418 Å), from a PBE-relaxed structure.
Intensities are scaled so that the largest is 100.

Principal peaks in the range 2θ from 10° to 90°, in order of rising 2θ:
| index | 2θ (°) | I_rel |
| --- | --- | --- |
| 0 0 1 | 11.86 | 100 |
| 1 1 -1 | 24.47 | 33 |
| 1 1 1 | 25.31 | 45 |
| 1 1 -2 | 31.87 | 54 |
| 3 1 0 | 32.36 | 24 |
| 1 1 2 | 33.19 | 35 |
| 3 1 -1 | 33.64 | 83 |
| 3 1 1 | 35.50 | 29 |
| 0 0 3 | 36.10 | 32 |
| 3 1 -2 | 38.93 | 25 |
| 0 2 0 | 40.93 | 33 |
| 3 1 2 | 42.20 | 31 |

Structural model:
```
data_Pm2Mg3Ag2
_chemical_formula_sum 'Pm4 Mg6 Ag4'
_space_group_name_H-M_alt 'C 1 2/m 1'
_space_group_IT_number 12
_cell_length_a 10.713
_cell_length_b 4.410
_cell_length_c 7.504
_cell_angle_alpha 90.00
_cell_angle_beta 95.93
_cell_angle_gamma 90.00
loop_
_space_group_symop_operation_xyz
'x,y,z'
'-x,-y,-z'
'-x,y,-z'
'x,-y,z'
'x+1/2,y+1/2,z'
'-x+1/2,-y+1/2,-z'
'-x+1/2,y+1/2,-z'
'x+1/2,-y+1/2,z'
loop_
_atom_site_label
_atom_site_fract_x
_atom_site_fract_y
_atom_site_fract_z
Pm1 0.125 0.000 0.346
Mg1 0.000 0.500 0.000
Mg2 0.185 0.000 0.868
Ag1 0.089 0.500 0.656
```

# 7
Theoretical XRD peak list of PmMg7Ag5 for Cu Kα (λ = 1.5418 Å), from a PBE-relaxed structure.
Intensities are scaled so that the largest is 100.

Principal peaks in the range 2θ from 10° to 90°, in order of rising 2θ:
| index | 2θ (°) | I_rel |
| --- | --- | --- |
| 0 1 1 | 12.78 | 38 |
| 0 0 2 | 18.28 | 46 |
| 0 2 2 | 25.71 | 64 |
| 1 1 2 | 25.81 | 29 |
| 0 4 0 | 36.35 | 40 |
| 2 2 0 | 36.61 | 100 |
| 2 0 2 | 36.79 | 66 |
| 0 0 4 | 37.04 | 36 |
| 0 4 2 | 40.98 | 22 |
| 2 2 2 | 41.22 | 49 |
| 0 4 4 | 52.88 | 23 |
| 2 2 4 | 53.07 | 31 |

Structural model:
```
data_PmMg7Ag5
_chemical_formula_sum 'Pm2 Mg14 Ag10'
_space_group_name_H-M_alt 'I m m 2'
_space_group_IT_number 44
_cell_length_a 5.655
_cell_length_b 9.885
_cell_length_c 9.709
_cell_angle_alpha 90.00
_cell_angle_beta 90.00
_cell_angle_gamma 90.00
loop_
_space_group_symop_operation_xyz
'x,y,z'
'-x,-y,z'
'-x,y,z'
'x,-y,z'
'x+1/2,y+1/2,z+1/2'
'-x+1/2,-y+1/2,z+1/2'
'-x+1/2,y+1/2,z+1/2'
'x+1/2,-y+1/2,z+1/2'
loop_
_atom_site_label
_atom_site_fract_x
_atom_site_fract_y
_atom_site_fract_z
Pm1 0.000 0.000 0.000
Mg1 0.000 0.000 0.349
Mg2 0.000 0.000 0.663
Mg3 0.000 0.295 0.499
Mg4 0.000 0.345 0.014
Mg5 0.000 0.500 0.724
Ag1 0.000 0.500 0.288
Ag2 0.248 0.255 0.754
```

# 8
Theoretical XRD peak list of PmMgAgTe3 for Cu Kα (λ = 1.5418 Å), from a PBE-relaxed structure.
Intensities are scaled so that the largest is 100.

Principal peaks in the range 2θ from 10° to 90°, in order of rising 2θ:
| index | 2θ (°) | I_rel |
| --- | --- | --- |
| 1 0 0 | 10.68 | 23 |
| 1 0 1 | 15.77 | 16 |
| 2 0 1 | 25.37 | 13 |
| 0 0 3 | 28.48 | 24 |
| 1 1 -2 | 28.65 | 29 |
| 2 1 0 | 30.03 | 100 |
| 2 0 -3 | 31.69 | 14 |
| 1 1 -3 | 35.20 | 24 |
| 0 1 3 | 35.52 | 28 |
| 0 2 0 | 42.28 | 28 |
| 4 0 -1 | 42.54 | 17 |
| 0 2 3 | 51.76 | 12 |

Structural model:
```
data_PmMgAgTe3
_chemical_formula_sum 'Pm2 Mg2 Ag2 Te6'
_space_group_name_H-M_alt 'P 1 21/m 1'
_space_group_IT_number 11
_cell_length_a 8.501
_cell_length_b 4.275
_cell_length_c 9.648
_cell_angle_alpha 90.00
_cell_angle_beta 102.97
_cell_angle_gamma 90.00
loop_
_space_group_symop_operation_xyz
'x,y,z'
'-x,-y,-z'
'-x,y+1/2,-z'
'x,-y+1/2,z'
loop_
_atom_site_label
_atom_site_fract_x
_atom_site_fract_y
_atom_site_fract_z
Pm1 0.189 0.250 0.248
Mg1 0.334 0.750 0.836
Ag1 0.084 0.250 0.583
Te1 0.091 0.250 0.875
Te2 0.277 0.750 0.511
Te3 0.419 0.750 0.146
```

# 9
Theoretical XRD peak list of Pr3Mg3Ag8 for Cu Kα (λ = 1.5418 Å), from a PBE-relaxed structure.
Intensities are scaled so that the largest is 100.

Principal peaks in the range 2θ from 10° to 90°, in order of rising 2θ:
| index | 2θ (°) | I_rel |
| --- | --- | --- |
| 0 0 2 | 12.94 | 30 |
| 1 0 3 | 27.11 | 27 |
| 0 2 4 | 31.89 | 53 |
| 1 2 3 | 32.77 | 74 |
| 1 3 0 | 33.24 | 100 |
| 1 1 4 | 33.55 | 52 |
| 0 3 3 | 33.71 | 25 |
| 1 3 2 | 35.81 | 21 |
| 2 0 0 | 37.90 | 87 |
| 1 4 1 | 41.95 | 22 |
| 2 2 4 | 50.33 | 29 |
| 1 4 7 | 63.97 | 21 |

Structural model:
```
data_Pr3Mg3Ag8
_chemical_formula_sum 'Pr6 Mg6 Ag16'
_space_group_name_H-M_alt 'I m m m'
_space_group_IT_number 71
_space_group_name_Hall '-I 2 2'
_cell_length_a 4.750
_cell_length_b 9.819
_cell_length_c 13.681
_cell_angle_alpha 90.00
_cell_angle_beta 90.00
_cell_angle_gamma 90.00
loop_
_atom_site_label
_atom_site_fract_x
_atom_site_fract_y
_atom_site_fract_z
Pr1 0.000 0.000 0.000
Pr2 0.000 0.000 0.291
Mg1 0.000 0.200 0.500
Mg2 0.000 0.500 0.000
Ag1 0.000 0.287 0.129
Ag2 0.000 0.359 0.336
```

# 10
Theoretical XRD peak list of PrMg2Ag9 for Cu Kα (λ = 1.5418 Å), from a PBE-relaxed structure.
Intensities are scaled so that the largest is 100.

Principal peaks in the range 2θ from 10° to 90°, in order of rising 2θ:
| index | 2θ (°) | I_rel |
| --- | --- | --- |
| 1 0 1 | 18.51 | 31 |
| 1 0 4 | 22.47 | 19 |
| 1 1 0 | 31.83 | 14 |
| 0 2 1 | 37.08 | 26 |
| 2 0 2 | 37.53 | 18 |
| 1 1 6 | 37.66 | 100 |
| 0 0 12 | 39.81 | 34 |
| 2 0 5 | 40.61 | 36 |
| 0 2 7 | 43.90 | 19 |
| 0 3 6 | 60.61 | 24 |
| 2 2 0 | 66.53 | 23 |
| 2 2 12 | 80.42 | 24 |

Structural model:
```
data_PrMg2Ag9
_chemical_formula_sum 'Pr3 Mg6 Ag27'
_space_group_name_H-M_alt 'R -3 m'
_space_group_IT_number 166
_space_group_name_Hall '-R 3 2"'
_cell_length_a 5.6221
_cell_length_b 5.6221
_cell_length_c 27.1711
_cell_angle_alpha 90.00
_cell_angle_beta 90.00
_cell_angle_gamma 120.00
loop_
_atom_site_label
_atom_site_fract_x
_atom_site_fract_y
_atom_site_fract_z
Pr1 0.0000 0.0000 0.0000
Mg1 0.0000 0.0000 0.1459
Ag1 0.0000 0.0000 0.3336
Ag2 0.0000 0.0000 0.5000
Ag3 0.0050 0.5025 0.9137
```

# 11
Theoretical XRD peak list of Pr4Mg3Ag for Cu Kα (λ = 1.5418 Å), from a PBE-relaxed structure.
Intensities are scaled so that the largest is 100.

Principal peaks in the range 2θ from 10° to 90°, in order of rising 2θ:
| index | 2θ (°) | I_rel |
| --- | --- | --- |
| 1 0 0 | 22.79 | 31 |
| 0 0 4 | 23.24 | 15 |
| 1 1 0 | 32.44 | 52 |
| 1 0 4 | 32.77 | 100 |
| 1 1 4 | 40.29 | 14 |
| 2 0 0 | 46.54 | 19 |
| 0 0 8 | 47.50 | 8 |
| 2 1 4 | 58.08 | 38 |
| 1 1 8 | 58.70 | 18 |
| 2 0 8 | 68.69 | 11 |
| 3 1 0 | 77.32 | 8 |
| 3 0 4 | 77.50 | 8 |

Structural model:
```
data_Pr4Mg3Ag
_chemical_formula_sum 'Pr4 Mg3 Ag1'
_space_group_name_H-M_alt 'P 4/m m m'
_space_group_IT_number 123
_space_group_name_Hall '-P 4 2'
_cell_length_a 3.903
_cell_length_b 3.903
_cell_length_c 15.313
_cell_angle_alpha 90.00
_cell_angle_beta 90.00
_cell_angle_gamma 90.00
loop_
_atom_site_label
_atom_site_fract_x
_atom_site_fract_y
_atom_site_fract_z
Pr1 0.000 0.000 0.119
Pr2 0.000 0.000 0.372
Mg1 0.500 0.500 0.248
Mg2 0.500 0.500 0.500
Ag1 0.500 0.500 0.000
```

# 12
Theoretical XRD peak list of PrMgAg4 for Cu Kα (λ = 1.5418 Å), from a PBE-relaxed structure.
Intensities are scaled so that the largest is 100.

Principal peaks in the range 2θ from 10° to 90°, in order of rising 2θ:
| index | 2θ (°) | I_rel |
| --- | --- | --- |
| 1 0 1 | 25.32 | 41 |
| 0 0 2 | 26.11 | 14 |
| 1 0 2 | 34.17 | 98 |
| 1 1 0 | 37.98 | 100 |
| 0 0 3 | 39.62 | 11 |
| 1 1 2 | 46.67 | 16 |
| 2 0 2 | 52.00 | 29 |
| 1 1 3 | 56.04 | 24 |
| 2 1 2 | 66.18 | 27 |
| 1 1 4 | 67.67 | 19 |
| 3 0 0 | 68.60 | 16 |
| 2 2 0 | 81.20 | 10 |

Structural model:
```
data_PrMgAg4
_chemical_formula_sum 'Pr1 Mg1 Ag4'
_space_group_name_H-M_alt 'P 6/m m m'
_space_group_IT_number 191
_space_group_name_Hall '-P 6 2'
_cell_length_a 4.7387
_cell_length_b 4.7387
_cell_length_c 6.8246
_cell_angle_alpha 90.00
_cell_angle_beta 90.00
_cell_angle_gamma 120.00
loop_
_atom_site_label
_atom_site_fract_x
_atom_site_fract_y
_atom_site_fract_z
Pr1 0.0000 0.0000 0.0000
Mg1 0.0000 0.0000 0.5000
Ag1 0.3333 0.6667 0.2840
```

# 13
Theoretical XRD peak list of Pr2Mg5Ag4 for Cu Kα (λ = 1.5418 Å), from a PBE-relaxed structure.
Intensities are scaled so that the largest is 100.

Principal peaks in the range 2θ from 10° to 90°, in order of rising 2θ:
| index | 2θ (°) | I_rel |
| --- | --- | --- |
| 0 0 4 | 19.73 | 100 |
| 2 0 0 | 29.95 | 43 |
| 1 3 1 | 31.83 | 77 |
| 1 3 3 | 34.88 | 85 |
| 2 0 4 | 36.12 | 79 |
| 0 0 8 | 40.07 | 32 |
| 1 3 5 | 40.39 | 41 |
| 1 3 7 | 47.65 | 32 |
| 2 0 8 | 50.82 | 18 |
| 3 3 1 | 54.37 | 17 |
| 3 3 3 | 56.41 | 21 |
| 4 0 4 | 66.00 | 19 |

Structural model:
```
data_Pr2Mg5Ag4
_chemical_formula_sum 'Pr8 Mg20 Ag16'
_space_group_name_H-M_alt 'F m m m'
_space_group_IT_number 69
_space_group_name_Hall '-F 2 2'
_cell_length_a 5.967
_cell_length_b 9.717
_cell_length_c 18.003
_cell_angle_alpha 90.00
_cell_angle_beta 90.00
_cell_angle_gamma 90.00
loop_
_atom_site_label
_atom_site_fract_x
_atom_site_fract_y
_atom_site_fract_z
Pr1 0.000 0.000 0.125
Mg1 0.000 0.000 0.500
Mg2 0.250 0.250 0.000
Mg3 0.250 0.250 0.250
Ag1 0.000 0.156 0.370
```

# 14
Theoretical XRD peak list of Pr2Mg5Ag5 for Cu Kα (λ = 1.5418 Å), from a PBE-relaxed structure.
Intensities are scaled so that the largest is 100.

Principal peaks in the range 2θ from 10° to 90°, in order of rising 2θ:
| index | 2θ (°) | I_rel |
| --- | --- | --- |
| 1 0 0 | 19.10 | 41 |
| 1 1 1 | 26.08 | 13 |
| 0 2 0 | 30.57 | 32 |
| 0 1 3 | 30.99 | 37 |
| 1 2 0 | 36.30 | 33 |
| 1 1 3 | 36.66 | 100 |
| 2 0 0 | 38.77 | 27 |
| 2 2 0 | 50.16 | 15 |
| 2 1 3 | 50.44 | 18 |
| 1 3 3 | 58.39 | 25 |
| 3 1 3 | 68.81 | 15 |
| 2 2 6 | 77.95 | 13 |

Structural model:
```
data_Pr2Mg5Ag5
_chemical_formula_sum 'Pr2 Mg5 Ag5'
_space_group_name_H-M_alt 'P m m m'
_space_group_IT_number 47
_cell_length_a 4.645
_cell_length_b 5.849
_cell_length_c 9.952
_cell_angle_alpha 90.00
_cell_angle_beta 90.00
_cell_angle_gamma 90.00
loop_
_space_group_symop_operation_xyz
'x,y,z'
'-x,-y,-z'
'-x,-y,z'
'x,y,-z'
'x,-y,-z'
'-x,y,z'
'-x,y,-z'
'x,-y,z'
loop_
_atom_site_label
_atom_site_fract_x
_atom_site_fract_y
_atom_site_fract_z
Pr1 0.000 0.000 0.000
Pr2 0.000 0.500 0.500
Mg1 0.500 0.000 0.500
Mg2 0.500 0.250 0.240
Ag1 0.000 0.000 0.333
Ag2 0.000 0.500 0.170
Ag3 0.500 0.500 0.000
```